Structure and computed X-ray diffraction stick pattern of Ba2IBrF2 (a structure optimized by DFT (GGA-PBE); Cu Kα, 1.54184 Å).
Intensities are scaled so that the largest is 100.

The 10 most intense peaks (2θ = 10–90°), sorted by position:
d 3.247, rel. 68, (1 1 0); d 3.055, rel. 100, (1 0 2); d 2.543, rel. 27, (1 1 2); d 2.296, rel. 36, (2 0 0); d 1.869, rel. 20, (1 0 4); d 1.835, rel. 45, (2 1 2); d 1.624, rel. 12, (2 2 0); d 1.452, rel. 13, (3 1 0); d 1.449, rel. 17, (2 1 4); d 1.216, rel. 12, (3 2 2)

Structural model:
Unit cell a=4.5922 b=4.5922 c=8.1824 alpha=90.00 beta=90.00 gamma=90.00
Space group P4mm (No. 99)
One atom of each set of equivalent atoms:
Ba (0.0000, 0.0000, 0.0000) x1
Ba (0.5000, 0.5000, 0.3532) x1
I (0.5000, 0.5000, 0.8047) x1
Br (0.0000, 0.0000, 0.4946) x1
F (0.0000, 0.5000, 0.1692) x2